# 1
For Sm5TmTh, DFT lattice parameters and positions (PBE) gives the theoretical PXRD pattern in this record (Cu Kα (weighted mean of Kα1 and Kα2)).

Peak list (10 most intense, 5 to 70 degrees two-theta, in order of falling intensity)
two_theta, I/Imax
31.8, 100
31.6, 78
32.0, 47
34.9, 31
31.4, 26
48.0, 23
57.1, 19
15.6, 18
32.7, 18
30.6, 17

abc: 7.044 10.297 6.982
angles: 90.00 105.73 90.00
Fractional coordinates of all 14 atoms:
Sm1 0.000 0.000 0.000
Sm2 0.190 0.219 0.732
Sm3 0.190 0.781 0.732
Sm4 0.310 0.281 0.268
Sm5 0.310 0.719 0.268
Sm6 0.500 0.500 0.000
Sm7 0.690 0.281 0.732
Sm8 0.690 0.719 0.732
Sm9 0.810 0.219 0.268
Sm10 0.810 0.781 0.268
Tm1 0.000 0.500 0.500
Tm2 0.500 0.000 0.500
Th1 0.000 0.500 0.000
Th2 0.500 0.000 0.000

=====

# 2
For Sm4Tm2Th3, DFT lattice parameters and positions (PBE) gives the theoretical PXRD pattern in this record (Cu Kα (weighted mean of Kα1 and Kα2)).

Peak list (10 most intense, 5 to 70 degrees two-theta, in order of falling intensity)
two_theta, I/Imax
33.5, 100
31.9, 79
30.0, 57
28.9, 50
60.5, 48
51.2, 41
42.2, 35
56.6, 29
62.6, 17
9.9, 15

abc: 3.566 3.566 26.784
angles: 90.00 90.00 120.00
Fractional coordinates of all 9 atoms:
Sm1 0.000 0.000 0.000
Sm2 0.000 0.000 0.219
Sm3 0.333 0.667 0.332
Sm4 0.333 0.667 0.554
Tm1 0.000 0.000 0.661
Tm2 0.000 0.000 0.875
Th1 0.000 0.000 0.443
Th2 0.333 0.667 0.108
Th3 0.333 0.667 0.770

=====

# 3
For Sm4TmTh3, DFT lattice parameters and positions (PBE) gives the theoretical PXRD pattern in this record (Cu Kα (weighted mean of Kα1 and Kα2)).

Peak list (10 most intense, 5 to 70 degrees two-theta, in order of falling intensity)
two_theta, I/Imax
30.5, 100
35.4, 34
60.6, 29
50.8, 24
35.1, 17
60.2, 14
63.4, 12
51.0, 12
8.7, 8
36.4, 2

abc: 5.064 10.142 10.216
angles: 90.00 90.00 90.00
Fractional coordinates of all 16 atoms:
Sm1 0.250 0.000 0.132
Sm2 0.250 0.250 0.865
Sm3 0.250 0.500 0.132
Sm4 0.250 0.750 0.870
Sm5 0.750 0.000 0.868
Sm6 0.750 0.250 0.130
Sm7 0.750 0.500 0.868
Sm8 0.750 0.750 0.135
Tm1 0.250 0.250 0.380
Tm2 0.750 0.750 0.620
Th1 0.250 0.002 0.619
Th2 0.250 0.498 0.619
Th3 0.250 0.750 0.380
Th4 0.750 0.250 0.620
Th5 0.750 0.502 0.381
Th6 0.750 0.998 0.381

=====

# 4
For SmTm6Th2, DFT lattice parameters and positions (PBE) gives the theoretical PXRD pattern in this record (Cu Kα (weighted mean of Kα1 and Kα2)).

Peak list (10 most intense, 5 to 70 degrees two-theta, in order of falling intensity)
two_theta, I/Imax
33.9, 100
30.9, 70
32.2, 65
61.3, 49
29.1, 48
51.6, 43
57.9, 31
42.9, 31
63.2, 17
35.8, 14

abc: 3.544 3.544 26.060
angles: 90.00 90.00 120.00
Fractional coordinates of all 9 atoms:
Sm1 0.000 0.000 0.000
Tm1 0.000 0.000 0.217
Tm2 0.000 0.000 0.437
Tm3 0.000 0.000 0.563
Tm4 0.000 0.000 0.783
Tm5 0.333 0.667 0.111
Tm6 0.333 0.667 0.889
Th1 0.333 0.667 0.329
Th2 0.333 0.667 0.671

=====

# 5
For SmTm8Th4, DFT lattice parameters and positions (PBE) gives the theoretical PXRD pattern in this record (Cu Kα (weighted mean of Kα1 and Kα2)).

Peak list (10 most intense, 5 to 70 degrees two-theta, in order of falling intensity)
two_theta, I/Imax
31.3, 100
33.0, 48
30.6, 32
39.5, 30
49.8, 30
28.3, 25
59.5, 25
53.7, 18
60.0, 14
56.9, 10

abc: 9.740 9.740 9.740
angles: 44.20 44.20 44.20
Fractional coordinates of all 13 atoms:
Sm1 0.000 0.000 0.000
Tm1 0.251 0.251 0.688
Tm2 0.251 0.688 0.251
Tm3 0.279 0.279 0.279
Tm4 0.312 0.749 0.749
Tm5 0.688 0.251 0.251
Tm6 0.721 0.721 0.721
Tm7 0.749 0.312 0.749
Tm8 0.749 0.749 0.312
Th1 0.000 0.000 0.500
Th2 0.000 0.500 0.000
Th3 0.500 0.000 0.000
Th4 0.500 0.500 0.500

=====

# 6
For Sm6TmTh, DFT lattice parameters and positions (PBE) gives the theoretical PXRD pattern in this record (Cu Kα (weighted mean of Kα1 and Kα2)).

Peak list (10 most intense, 5 to 70 degrees two-theta, in order of falling intensity)
two_theta, I/Imax
30.3, 100
35.2, 34
60.2, 29
50.6, 24
35.1, 17
60.0, 15
63.1, 12
50.7, 12
17.4, 1
24.7, 1

abc: 7.202 7.202 5.120
angles: 90.00 90.00 90.00
Fractional coordinates of all 8 atoms:
Sm1 0.000 0.500 0.000
Sm2 0.246 0.246 0.500
Sm3 0.246 0.754 0.500
Sm4 0.500 0.000 0.000
Sm5 0.754 0.246 0.500
Sm6 0.754 0.754 0.500
Tm1 0.500 0.500 0.000
Th1 0.000 0.000 0.000

=====

# 7
For Sm2Tm9Th, DFT lattice parameters and positions (PBE) gives the theoretical PXRD pattern in this record (Cu Kα (weighted mean of Kα1 and Kα2)).

Peak list (6 most intense, 5 to 70 degrees two-theta, in order of falling intensity)
two_theta, I/Imax
31.1, 100
36.1, 51
61.8, 43
52.0, 36
64.9, 12
5.9, 1

abc: 4.975 4.975 14.947
angles: 90.00 90.00 90.00
Fractional coordinates of all 12 atoms:
Sm1 0.000 0.000 0.167
Sm2 0.000 0.000 0.833
Tm1 0.000 0.500 0.000
Tm2 0.000 0.500 0.335
Tm3 0.000 0.500 0.665
Tm4 0.500 0.000 0.000
Tm5 0.500 0.000 0.335
Tm6 0.500 0.000 0.665
Tm7 0.500 0.500 0.166
Tm8 0.500 0.500 0.500
Tm9 0.500 0.500 0.834
Th1 0.000 0.000 0.500

=====

# 8
For Sm4Tm6Th, DFT lattice parameters and positions (PBE) gives the theoretical PXRD pattern in this record (Cu Kα (weighted mean of Kα1 and Kα2)).

Peak list (10 most intense, 5 to 70 degrees two-theta, in order of falling intensity)
two_theta, I/Imax
31.9, 100
30.5, 66
31.6, 53
30.6, 38
33.5, 29
44.6, 27
56.5, 20
56.1, 15
60.4, 13
55.6, 12

abc: 5.610 5.610 25.598
angles: 90.00 90.00 119.34
Fractional coordinates of all 22 atoms:
Sm1 0.011 0.989 0.623
Sm2 0.011 0.989 0.877
Sm3 0.337 0.663 0.543
Sm4 0.337 0.663 0.957
Sm5 0.663 0.337 0.043
Sm6 0.663 0.337 0.457
Sm7 0.989 0.011 0.123
Sm8 0.989 0.011 0.377
Tm1 0.000 0.000 0.000
Tm2 0.000 0.000 0.500
Tm3 0.010 0.990 0.750
Tm4 0.325 0.675 0.103
Tm5 0.325 0.675 0.397
Tm6 0.343 0.657 0.684
Tm7 0.343 0.657 0.816
Tm8 0.657 0.343 0.184
Tm9 0.657 0.343 0.316
Tm10 0.675 0.325 0.603
Tm11 0.675 0.325 0.897
Tm12 0.990 0.010 0.250
Th1 0.324 0.676 0.250
Th2 0.676 0.324 0.750

=====

# 9
For SmTm6Th4, DFT lattice parameters and positions (PBE) gives the theoretical PXRD pattern in this record (Cu Kα (weighted mean of Kα1 and Kα2)).

Peak list (10 most intense, 5 to 70 degrees two-theta, in order of falling intensity)
two_theta, I/Imax
31.7, 100
30.8, 66
36.7, 44
34.1, 36
27.2, 26
63.8, 26
55.3, 20
29.1, 18
41.5, 17
32.1, 15

abc: 18.094 18.094 18.094
angles: 169.20 161.51 21.46
Fractional coordinates of all 11 atoms:
Sm1 0.000 0.000 0.000
Tm1 0.097 0.597 0.500
Tm2 0.267 0.767 0.500
Tm3 0.368 0.868 0.500
Tm4 0.632 0.132 0.500
Tm5 0.733 0.233 0.500
Tm6 0.903 0.403 0.500
Th1 0.182 0.182 0.000
Th2 0.455 0.455 0.000
Th3 0.545 0.545 0.000
Th4 0.818 0.818 0.000

=====

# 10
For Sm3Tm6Th2, DFT lattice parameters and positions (PBE) gives the theoretical PXRD pattern in this record (Cu Kα (weighted mean of Kα1 and Kα2)).

Peak list (10 most intense, 5 to 70 degrees two-theta, in order of falling intensity)
two_theta, I/Imax
31.1, 100
36.2, 44
31.7, 32
36.4, 22
62.0, 19
51.9, 16
52.7, 15
64.9, 12
61.7, 10
62.2, 9

abc: 6.109 6.109 11.474
angles: 95.16 95.16 120.10
Fractional coordinates of all 11 atoms:
Sm1 0.000 0.000 0.000
Sm2 0.335 0.665 0.000
Sm3 0.665 0.335 0.000
Tm1 0.086 0.418 0.255
Tm2 0.248 0.248 0.745
Tm3 0.418 0.086 0.255
Tm4 0.582 0.914 0.745
Tm5 0.752 0.752 0.255
Tm6 0.914 0.582 0.745
Th1 0.165 0.835 0.500
Th2 0.835 0.165 0.500

=====

# 11
For SmTmTh2, DFT lattice parameters and positions (PBE) gives the theoretical PXRD pattern in this record (Cu Kα (weighted mean of Kα1 and Kα2)).

Peak list (10 most intense, 5 to 70 degrees two-theta, in order of falling intensity)
two_theta, I/Imax
31.7, 100
34.2, 72
30.7, 58
61.0, 44
51.3, 39
29.4, 31
53.6, 26
38.9, 21
61.5, 15
58.4, 14

abc: 3.564 3.564 34.943
angles: 90.00 90.00 120.00
Fractional coordinates of all 12 atoms:
Sm1 0.000 0.000 0.000
Sm2 0.333 0.667 0.667
Sm3 0.667 0.333 0.333
Tm1 0.000 0.000 0.170
Tm2 0.333 0.667 0.837
Tm3 0.667 0.333 0.503
Th1 0.000 0.000 0.584
Th2 0.000 0.000 0.753
Th3 0.333 0.667 0.251
Th4 0.333 0.667 0.420
Th5 0.667 0.333 0.087
Th6 0.667 0.333 0.917

=====

# 12
For SmTm3Th, DFT lattice parameters and positions (PBE) gives the theoretical PXRD pattern in this record (Cu Kα (weighted mean of Kα1 and Kα2)).

Peak list (10 most intense, 5 to 70 degrees two-theta, in order of falling intensity)
two_theta, I/Imax
32.1, 100
32.6, 85
30.8, 68
29.9, 48
58.1, 24
38.7, 23
59.7, 18
64.2, 17
46.7, 15
42.1, 14

abc: 9.319 9.319 7.424
angles: 90.00 90.00 87.50
Fractional coordinates of all 20 atoms:
Sm1 0.226 0.274 0.250
Sm2 0.274 0.226 0.750
Sm3 0.726 0.774 0.250
Sm4 0.774 0.726 0.750
Tm1 0.077 0.620 0.120
Tm2 0.100 0.900 0.859
Tm3 0.120 0.577 0.620
Tm4 0.380 0.923 0.120
Tm5 0.400 0.600 0.359
Tm6 0.423 0.880 0.620
Tm7 0.577 0.120 0.380
Tm8 0.600 0.400 0.641
Tm9 0.620 0.077 0.880
Tm10 0.880 0.423 0.380
Tm11 0.900 0.100 0.141
Tm12 0.923 0.380 0.880
Th1 0.110 0.890 0.408
Th2 0.390 0.610 0.908
Th3 0.610 0.390 0.092
Th4 0.890 0.110 0.592